Record 1
Theoretical X-ray diffraction stick pattern
Compound: SbHO2F6
Radiation: Cu Kα
Structure: a crystal structure in the Materials Project, relaxed with GGA-PBE
Kinematic intensities with the Lorentz-polarization factor, no thermal factor.

Most intense lines, 15° ≤ 2θ ≤ 90°, in order of falling intensity:
2θ (°), d [Å], I/Imax, h k l
16.21, 5.469, 100, 0 1 -1
24.44, 3.642, 92, 1 -1 1
16.55, 5.356, 86, 0 1 1
17.29, 5.130, 62, 1 0 0
22.63, 3.929, 60, -1 1 1
23.07, 3.855, 54, 1 1 -1
22.03, 4.034, 53, 0 0 2
25.34, 3.515, 46, 1 1 1
37.81, 2.379, 35, 1 1 -3
26.32, 3.386, 27, 1 0 -2

Structure:
```
data_SbHO2F6
_chemical_formula_sum 'Sb2 H2 O4 F12'
_cell_length_a 5.174
_cell_length_b 7.302
_cell_length_c 8.135
_cell_angle_alpha 90.94
_cell_angle_beta 97.22
_cell_angle_gamma 91.97
_space_group_name_H-M_alt 'P -1'
_space_group_IT_number 2
loop_
_space_group_symop_operation_xyz
'x,y,z'
'-x,-y,-z'
loop_
_atom_site_label
_atom_site_type_symbol
_atom_site_fract_x
_atom_site_fract_y
_atom_site_fract_z
Sb1 Sb 0.040 0.234 0.273
H1 H 0.349 0.584 0.353
O1 O 0.418 0.762 0.125
O2 O 0.490 0.754 0.275
F1 F 0.063 0.783 0.512
F2 F 0.150 0.973 0.825
F3 F 0.191 0.305 0.082
F4 F 0.217 0.588 0.777
F5 F 0.275 0.472 0.399
F6 F 0.350 0.115 0.351
```

---

Record 2
Theoretical X-ray diffraction stick pattern
Compound: SiH14O4F6
Radiation: Cu Kα
Structure: a crystal structure in the Materials Project, relaxed with GGA-PBE
Kinematic intensities with the Lorentz-polarization factor, no thermal factor.

Most intense lines, 15° ≤ 2θ ≤ 90°, in order of falling intensity:
2θ (°), d [Å], I/Imax, h k l
16.63, 5.332, 100, 0 1 1
16.24, 5.457, 97, 1 0 0
31.45, 2.845, 34, 1 4 0
19.59, 4.531, 32, 1 1 -1
27.30, 3.267, 22, 1 3 -1
42.83, 2.111, 20, 2 4 0
21.04, 4.223, 19, 1 2 0
46.70, 1.945, 15, 2 5 -1
47.37, 1.919, 15, 0 1 3
25.21, 3.532, 14, 0 3 1

Structure:
```
data_SiH14O4F6
_chemical_formula_sum 'Si2 H28 O8 F12'
_cell_length_a 5.756
_cell_length_b 13.336
_cell_length_c 6.137
_cell_angle_alpha 90.00
_cell_angle_beta 108.56
_cell_angle_gamma 90.00
_space_group_name_H-M_alt 'P 1 21/c 1'
_space_group_IT_number 14
loop_
_space_group_symop_operation_xyz
'x,y,z'
'-x,-y,-z'
'-x,y+1/2,-z+1/2'
'x,-y+1/2,z+1/2'
loop_
_atom_site_label
_atom_site_type_symbol
_atom_site_fract_x
_atom_site_fract_y
_atom_site_fract_z
Si1 Si 0.000 0.000 0.000
H1 H 0.115 0.199 0.083
H2 H 0.126 0.708 0.014
H3 H 0.176 0.181 0.647
H4 H 0.306 0.636 0.278
H5 H 0.335 0.071 0.569
H6 H 0.427 0.642 0.080
H7 H 0.437 0.087 0.676
O1 O 0.052 0.233 0.622
O2 O 0.335 0.681 0.157
F1 F 0.084 0.527 0.784
F2 F 0.208 0.100 0.054
F3 F 0.227 0.579 0.471
```

---

Record 3
Theoretical X-ray diffraction stick pattern
Compound: SiH14O4F6
Radiation: Cu Kα
Structure: a crystal structure in the Materials Project, relaxed with GGA-PBE
Kinematic intensities with the Lorentz-polarization factor, no thermal factor.

Most intense lines, 15° ≤ 2θ ≤ 90°, in order of falling intensity:
2θ (°), d [Å], I/Imax, h k l
15.73, 5.635, 100, 1 0 0
16.14, 5.493, 72, 0 1 1
26.99, 3.303, 24, 1 3 -1
18.86, 4.705, 24, 1 1 -1
31.56, 2.834, 22, 1 4 0
42.29, 2.137, 22, 2 4 0
45.52, 1.993, 16, 0 1 3
25.82, 3.450, 13, 1 1 1
32.55, 2.750, 12, 1 4 -1
22.24, 3.997, 11, 1 2 -1

Structure:
```
data_SiH14O4F6
_chemical_formula_sum 'Si2 H28 O8 F12'
_cell_length_a 5.973
_cell_length_b 13.120
_cell_length_c 6.411
_cell_angle_alpha 90.00
_cell_angle_beta 109.37
_cell_angle_gamma 90.00
_space_group_name_H-M_alt 'P 1 21/c 1'
_space_group_IT_number 14
loop_
_space_group_symop_operation_xyz
'x,y,z'
'-x,-y,-z'
'-x,y+1/2,-z+1/2'
'x,-y+1/2,z+1/2'
loop_
_atom_site_label
_atom_site_type_symbol
_atom_site_fract_x
_atom_site_fract_y
_atom_site_fract_z
Si1 Si 0.000 0.000 0.000
H1 H 0.112 0.214 0.102
H2 H 0.139 0.686 0.025
H3 H 0.141 0.176 0.730
H4 H 0.266 0.623 0.287
H5 H 0.359 0.596 0.084
H6 H 0.360 0.077 0.568
H7 H 0.464 0.082 0.673
O1 O 0.030 0.226 0.637
O2 O 0.302 0.652 0.155
F1 F 0.088 0.513 0.778
F2 F 0.190 0.104 0.027
F3 F 0.226 0.581 0.492
```

---

Record 4
Theoretical X-ray diffraction stick pattern
Compound: SiH10O4F6
Radiation: Cu Kα
Structure: a crystal structure in the Materials Project, relaxed with GGA-PBE
Kinematic intensities with the Lorentz-polarization factor, no thermal factor.

Most intense lines, 15° ≤ 2θ ≤ 90°, in order of falling intensity:
2θ (°), d [Å], I/Imax, h k l
16.35, 5.420, 100, 0 1 1
15.00, 5.905, 48, 1 0 0
23.16, 3.840, 35, 1 2 0
33.05, 2.710, 33, 0 2 2
19.81, 4.481, 31, 1 1 -1
31.36, 2.852, 21, 2 1 -1
50.67, 1.802, 21, 1 4 2
29.95, 2.984, 20, 0 3 1
45.68, 1.986, 17, 3 1 -1
28.93, 3.086, 16, 1 2 1

Structure:
```
data_SiH10O4F6
_chemical_formula_sum 'Si2 H20 O8 F12'
_cell_length_a 6.090
_cell_length_b 10.109
_cell_length_c 6.623
_cell_angle_alpha 90.00
_cell_angle_beta 104.17
_cell_angle_gamma 90.00
_space_group_name_H-M_alt 'P 1 21/c 1'
_space_group_IT_number 14
loop_
_space_group_symop_operation_xyz
'x,y,z'
'-x,-y,-z'
'-x,y+1/2,-z+1/2'
'x,-y+1/2,z+1/2'
loop_
_atom_site_label
_atom_site_type_symbol
_atom_site_fract_x
_atom_site_fract_y
_atom_site_fract_z
Si1 Si 0.000 0.000 0.000
H1 H 0.166 0.125 0.657
H2 H 0.205 0.122 0.422
H3 H 0.266 0.720 0.766
H4 H 0.385 0.650 0.375
H5 H 0.424 0.195 0.626
O1 O 0.282 0.119 0.574
O2 O 0.409 0.729 0.295
F1 F 0.026 0.616 0.700
F2 F 0.078 0.124 0.181
F3 F 0.276 0.524 0.500
```

---

Record 5
Theoretical X-ray diffraction stick pattern
Compound: ZnSiH12O6F6
Radiation: Cu Kα
Structure: a crystal structure in the Materials Project, relaxed with GGA-PBE
Kinematic intensities with the Lorentz-polarization factor, no thermal factor.

Most intense lines, 15° ≤ 2θ ≤ 90°, in order of falling intensity:
2θ (°), d [Å], I/Imax, h k l
18.56, 4.782, 100, 1 1 0
21.00, 4.230, 60, 0 1 2
47.00, 1.933, 31, 2 2 3
33.94, 2.641, 30, 1 2 2
29.95, 2.983, 26, 2 1 1
54.67, 1.679, 15, 4 -3 4
33.12, 2.705, 11, 1 1 3
42.78, 2.114, 11, 0 2 4
28.17, 3.168, 10, 2 0 2
50.50, 1.807, 9, 1 4 0

Structure:
```
data_ZnSiH12O6F6
_chemical_formula_sum 'Zn3 Si3 H36 O18 F18'
_cell_length_a 9.5633
_cell_length_b 9.5633
_cell_length_c 9.8410
_cell_angle_alpha 90.00
_cell_angle_beta 90.00
_cell_angle_gamma 120.00
_space_group_name_H-M_alt 'R -3'
_space_group_IT_number 148
_space_group_name_Hall '-R 3'
loop_
_atom_site_label
_atom_site_type_symbol
_atom_site_fract_x
_atom_site_fract_y
_atom_site_fract_z
Zn1 Zn 0.0000 0.0000 0.0000
Si1 Si 0.0000 0.0000 0.5000
H1 H 0.0133 0.1787 0.7793
H2 H 0.0367 0.5789 0.7749
O1 O 0.0037 0.8203 0.1223
F1 F 0.0336 0.1608 0.6009
```

---

Record 6
Theoretical X-ray diffraction stick pattern
Compound: ZnSn2H12O6F6
Radiation: Cu Kα
Structure: a crystal structure in the Materials Project, relaxed with GGA-PBE
Kinematic intensities with the Lorentz-polarization factor, no thermal factor.

Most intense lines, 15° ≤ 2θ ≤ 90°, in order of falling intensity:
2θ (°), d [Å], I/Imax, h k l
17.75, 4.998, 100, 1 1 1
19.51, 4.550, 83, 1 -1 0
26.35, 3.383, 81, 2 0 1
20.21, 4.394, 64, 0 1 -1
21.15, 4.200, 63, 1 0 -1
27.19, 3.280, 58, 0 1 2
27.71, 3.220, 53, 1 2 0
26.62, 3.348, 40, 0 2 1
41.05, 2.199, 22, 3 1 2
40.41, 2.232, 20, 0 0 3

Structure:
```
data_ZnSn2H12O6F6
_chemical_formula_sum 'Zn1 Sn2 H12 O6 F6'
_cell_length_a 7.062
_cell_length_b 7.152
_cell_length_c 7.172
_cell_angle_alpha 76.19
_cell_angle_beta 72.46
_cell_angle_gamma 79.76
_space_group_name_H-M_alt 'P -1'
_space_group_IT_number 2
loop_
_space_group_symop_operation_xyz
'x,y,z'
'-x,-y,-z'
loop_
_atom_site_label
_atom_site_type_symbol
_atom_site_fract_x
_atom_site_fract_y
_atom_site_fract_z
Zn1 Zn 0.000 0.000 0.000
Sn1 Sn 0.323 0.365 0.311
H1 H 0.073 0.368 0.814
H2 H 0.098 0.761 0.748
H3 H 0.210 0.948 0.640
H4 H 0.235 0.945 0.257
H5 H 0.249 0.272 0.915
H6 H 0.349 0.828 0.085
O1 O 0.155 0.244 0.849
O2 O 0.173 0.856 0.769
O3 O 0.216 0.871 0.165
F1 F 0.032 0.414 0.272
F2 F 0.269 0.072 0.409
F3 F 0.421 0.303 0.020
```

---

Record 7
Theoretical X-ray diffraction stick pattern
Compound: ZnSn2H12O6F6
Radiation: Cu Kα
Structure: a crystal structure in the Materials Project, relaxed with GGA-PBE
Kinematic intensities with the Lorentz-polarization factor, no thermal factor.

Most intense lines, 15° ≤ 2θ ≤ 90°, in order of falling intensity:
2θ (°), d [Å], I/Imax, h k l
18.89, 4.698, 100, 1 0 -1
19.65, 4.517, 72, 0 1 -1
19.34, 4.591, 67, 1 -1 0
20.22, 4.391, 60, 1 1 1
26.82, 3.324, 36, 1 0 2
29.80, 2.998, 33, 1 2 0
25.15, 3.541, 28, 0 1 2
30.26, 2.954, 26, 2 1 0
27.08, 3.293, 26, 0 2 1
34.46, 2.603, 22, 1 -2 1

Structure:
```
data_ZnSn2H12O6F6
_chemical_formula_sum 'Zn1 Sn2 H12 O6 F6'
_cell_length_a 6.529
_cell_length_b 6.806
_cell_length_c 7.559
_cell_angle_alpha 78.32
_cell_angle_beta 85.06
_cell_angle_gamma 87.46
_space_group_name_H-M_alt 'P -1'
_space_group_IT_number 2
loop_
_space_group_symop_operation_xyz
'x,y,z'
'-x,-y,-z'
loop_
_atom_site_label
_atom_site_type_symbol
_atom_site_fract_x
_atom_site_fract_y
_atom_site_fract_z
Zn1 Zn 0.000 0.000 0.000
Sn1 Sn 0.357 0.350 0.375
H1 H 0.060 0.781 0.364
H2 H 0.075 0.867 0.704
H3 H 0.278 0.353 0.038
H4 H 0.290 0.959 0.744
H5 H 0.342 0.948 0.192
H6 H 0.364 0.438 0.122
O1 O 0.136 0.973 0.757
O2 O 0.188 0.719 0.317
O3 O 0.249 0.854 0.147
F1 F 0.048 0.272 0.381
F2 F 0.201 0.274 0.956
F3 F 0.467 0.067 0.289
```

---

Record 8
Theoretical X-ray diffraction stick pattern
Compound: SrTiH4O2F6
Radiation: Cu Kα
Structure: a crystal structure in the Materials Project, relaxed with GGA-PBE
Kinematic intensities with the Lorentz-polarization factor, no thermal factor.

Most intense lines, 15° ≤ 2θ ≤ 90°, in order of falling intensity:
2θ (°), d [Å], I/Imax, h k l
24.09, 3.695, 100, 0 2 2
20.06, 4.425, 57, 1 1 -2
25.20, 3.534, 55, 1 1 -3
18.02, 4.922, 52, 1 1 0
15.60, 5.679, 50, 1 0 0
37.45, 2.401, 42, 2 1 -4
26.95, 3.309, 39, 1 2 1
31.00, 2.885, 37, 1 3 -1
27.61, 3.231, 37, 1 1 2
42.55, 2.125, 31, 2 3 -3

Structure:
```
data_SrTiH4O2F6
_chemical_formula_sum 'Sr4 Ti4 H16 O8 F24'
_cell_length_a 6.073
_cell_length_b 9.865
_cell_length_c 11.926
_cell_angle_alpha 90.00
_cell_angle_beta 110.75
_cell_angle_gamma 90.00
_space_group_name_H-M_alt 'P 1 21/c 1'
_space_group_IT_number 14
loop_
_space_group_symop_operation_xyz
'x,y,z'
'-x,-y,-z'
'-x,y+1/2,-z+1/2'
'x,-y+1/2,z+1/2'
loop_
_atom_site_label
_atom_site_type_symbol
_atom_site_fract_x
_atom_site_fract_y
_atom_site_fract_z
Sr1 Sr 0.218 0.187 0.049
Ti1 Ti 0.138 0.536 0.232
H1 H 0.224 0.608 0.672
H2 H 0.326 0.633 0.570
H3 H 0.330 0.647 0.947
H4 H 0.476 0.636 0.085
O1 O 0.204 0.582 0.590
O2 O 0.451 0.693 0.014
F1 F 0.005 0.656 0.314
F2 F 0.018 0.638 0.090
F3 F 0.144 0.566 0.814
F4 F 0.272 0.060 0.879
F5 F 0.278 0.090 0.660
F6 F 0.417 0.645 0.274
```